[1]
This entry pairs a crystal structure of SnRh3 with its calculated PXRD pattern. Radiation: Cu Kα, 1.54184 Å. Structure: a cell relaxed with GGA-PBE.
Kinematic intensities with the Lorentz-polarization factor, no thermal factor.

Atomic structure:
Cell lengths 4.7790, 4.7790, 4.7790 Å; angles 130.00, 130.00, 73.41 degrees
Fractional positions:
Sn 0.0000 0.0000 0.0000
Rh 0.2500 0.7500 0.5000
Rh 0.5000 0.5000 0.0000
Rh 0.7500 0.2500 0.5000

Peak list (6 most intense, 10 to 80 degrees two-theta, by angle)
d = 2.290 Å, 2θ 39.34, intensity 100
d = 2.020 Å, 2θ 44.88, intensity 34
d = 1.916 Å, 2θ 47.46, intensity 15
d = 1.428 Å, 2θ 65.34, intensity 11
d = 1.390 Å, 2θ 67.37, intensity 20
d = 1.212 Å, 2θ 79.01, intensity 26

[2]
This entry pairs a crystal structure of Eu3B6Rh8 with its calculated PXRD pattern. Radiation: Cu Kα, 1.54184 Å. Structure: a cell relaxed with GGA-PBE.
Kinematic intensities with the Lorentz-polarization factor, no thermal factor.

Atomic structure:
Cell lengths 9.9063, 9.0336, 5.6575 Å; angles 81.29, 64.34, 34.37 degrees
Fractional positions:
Eu 0.0000 0.0000 0.0000
Eu 0.1831 0.1831 0.8169
Eu 0.8169 0.8169 0.1831
B 0.1681 0.4903 0.5097
B 0.3350 0.6650 0.3350
B 0.4903 0.1681 0.8319
B 0.5097 0.8319 0.1681
B 0.6650 0.3350 0.6650
B 0.8319 0.5097 0.4903
Rh 0.0847 0.0847 0.4153
Rh 0.2500 0.2500 0.2500
Rh 0.4127 0.4127 0.5873
Rh 0.4153 0.4153 0.0847
Rh 0.5847 0.5847 0.9153
Rh 0.5873 0.5873 0.4127
Rh 0.7500 0.7500 0.7500
Rh 0.9153 0.9153 0.5847

Peak list (10 most intense, 10 to 80 degrees two-theta, by angle)
d = 2.804 Å, 2θ 31.92, intensity 64
d = 2.477 Å, 2θ 36.27, intensity 42
d = 2.463 Å, 2θ 36.48, intensity 52
d = 2.422 Å, 2θ 37.11, intensity 100
d = 2.184 Å, 2θ 41.34, intensity 37
d = 1.996 Å, 2θ 45.44, intensity 26
d = 1.551 Å, 2θ 59.62, intensity 19
d = 1.462 Å, 2θ 63.65, intensity 14
d = 1.414 Å, 2θ 66.07, intensity 20
d = 1.233 Å, 2θ 77.40, intensity 16

[3]
This entry pairs a crystal structure of Ba2TbBiO6 with its calculated PXRD pattern. Radiation: Cu Kα, 1.54184 Å. Structure: a cell relaxed with GGA-PBE.
Kinematic intensities with the Lorentz-polarization factor, no thermal factor.

Atomic structure:
Cell lengths 6.1799, 6.1799, 6.1799 Å; angles 60.00, 60.00, 60.00 degrees
Fractional positions:
Ba 0.2500 0.2500 0.2500
Ba 0.7500 0.7500 0.7500
Tb 0.0000 0.0000 0.0000
Bi 0.5000 0.5000 0.5000
O 0.2567 0.2567 0.7433
O 0.2567 0.7433 0.2567
O 0.2567 0.7433 0.7433
O 0.7433 0.2567 0.2567
O 0.7433 0.2567 0.7433
O 0.7433 0.7433 0.2567

Peak list (10 most intense, 10 to 80 degrees two-theta, by angle)
d = 5.046 Å, 2θ 17.58, intensity 2
d = 4.370 Å, 2θ 20.32, intensity 6
d = 3.090 Å, 2θ 28.89, intensity 100
d = 2.185 Å, 2θ 41.32, intensity 28
d = 1.954 Å, 2θ 46.47, intensity 3
d = 1.784 Å, 2θ 51.21, intensity 42
d = 1.545 Å, 2θ 59.87, intensity 18
d = 1.457 Å, 2θ 63.91, intensity 1
d = 1.382 Å, 2θ 67.82, intensity 19
d = 1.261 Å, 2θ 75.34, intensity 6

[4]
This entry pairs a crystal structure of La2InGe2 with its calculated PXRD pattern. Radiation: Cu Kα, 1.54184 Å. Structure: a cell relaxed with GGA-PBE.
Kinematic intensities with the Lorentz-polarization factor, no thermal factor.

Atomic structure:
Cell lengths 7.7263, 7.7263, 4.4600 Å; angles 90.00, 90.00, 90.00 degrees
Fractional positions:
La 0.1800 0.3200 0.0000
La 0.3200 0.8200 0.0000
La 0.6800 0.1800 0.0000
La 0.8200 0.6800 0.0000
In 0.0000 0.0000 0.5000
In 0.5000 0.5000 0.5000
Ge 0.1172 0.6172 0.5000
Ge 0.3828 0.1172 0.5000
Ge 0.6172 0.8828 0.5000
Ge 0.8828 0.3828 0.5000

Peak list (10 most intense, 10 to 80 degrees two-theta, by angle)
d = 3.455 Å, 2θ 25.79, intensity 14
d = 2.920 Å, 2θ 30.62, intensity 57
d = 2.731 Å, 2θ 32.79, intensity 100
d = 2.443 Å, 2θ 36.79, intensity 33
d = 2.230 Å, 2θ 40.45, intensity 21
d = 1.874 Å, 2θ 48.59, intensity 14
d = 1.728 Å, 2θ 53.01, intensity 22
d = 1.647 Å, 2θ 55.82, intensity 19
d = 1.435 Å, 2θ 65.01, intensity 23
d = 1.366 Å, 2θ 68.73, intensity 19

[5]
This entry pairs a crystal structure of La5Sn3Br with its calculated PXRD pattern. Radiation: Cu Kα, 1.54184 Å. Structure: a cell relaxed with GGA-PBE.
Kinematic intensities with the Lorentz-polarization factor, no thermal factor.

Atomic structure:
Cell lengths 9.7121, 9.7121, 7.0161 Å; angles 90.00, 90.00, 120.00 degrees
Fractional positions:
La 0.0000 0.2688 0.2500
La 0.0000 0.7312 0.7500
La 0.2688 0.0000 0.2500
La 0.2688 0.2688 0.7500
La 0.3333 0.6667 0.0000
La 0.3333 0.6667 0.5000
La 0.6667 0.3333 0.0000
La 0.6667 0.3333 0.5000
La 0.7312 0.0000 0.7500
La 0.7312 0.7312 0.2500
Sn 0.0000 0.3864 0.7500
Sn 0.0000 0.6136 0.2500
Sn 0.3864 0.0000 0.7500
Sn 0.3864 0.3864 0.2500
Sn 0.6136 0.0000 0.2500
Sn 0.6136 0.6136 0.7500
Br 0.0000 0.0000 0.0000
Br 0.0000 0.0000 0.5000

Peak list (10 most intense, 10 to 80 degrees two-theta, by angle)
d = 2.896 Å, 2θ 30.88, intensity 63
d = 2.844 Å, 2θ 31.46, intensity 100
d = 2.804 Å, 2θ 31.92, intensity 72
d = 2.214 Å, 2θ 40.76, intensity 16
d = 1.996 Å, 2θ 45.43, intensity 26
d = 1.884 Å, 2θ 48.31, intensity 18
d = 1.861 Å, 2θ 48.96, intensity 12
d = 1.754 Å, 2θ 52.15, intensity 11
d = 1.626 Å, 2θ 56.59, intensity 14
d = 1.487 Å, 2θ 62.44, intensity 27

[6]
This entry pairs a crystal structure of SbSCl9 with its calculated PXRD pattern. Radiation: Cu Kα, 1.54184 Å. Structure: a cell relaxed with GGA-PBE.
Kinematic intensities with the Lorentz-polarization factor, no thermal factor.

Atomic structure:
Cell lengths 9.0862, 9.0862, 9.0862 Å; angles 76.53, 76.53, 76.53 degrees
Fractional positions:
Sb 0.0000 0.0000 0.0000
Sb 0.5000 0.5000 0.5000
S 0.2071 0.2071 0.2071
S 0.7929 0.7929 0.7929
Cl 0.1289 0.8254 0.8254
Cl 0.1591 0.1591 0.4374
Cl 0.1591 0.4374 0.1591
Cl 0.1746 0.1746 0.8711
Cl 0.1746 0.8711 0.1746
Cl 0.2247 0.5287 0.5287
Cl 0.4374 0.1591 0.1591
Cl 0.4713 0.4713 0.7753
Cl 0.4713 0.7753 0.4713
Cl 0.5287 0.2247 0.5287
Cl 0.5287 0.5287 0.2247
Cl 0.5626 0.8409 0.8409
Cl 0.7753 0.4713 0.4713
Cl 0.8254 0.1289 0.8254
Cl 0.8254 0.8254 0.1289
Cl 0.8409 0.5626 0.8409
Cl 0.8409 0.8409 0.5626
Cl 0.8711 0.1746 0.1746

Peak list (10 most intense, 10 to 80 degrees two-theta, by angle)
d = 6.813 Å, 2θ 12.99, intensity 34
d = 5.627 Å, 2θ 15.75, intensity 100
d = 4.280 Å, 2θ 20.75, intensity 39
d = 3.406 Å, 2θ 26.16, intensity 14
d = 2.914 Å, 2θ 30.68, intensity 15
d = 2.892 Å, 2θ 30.92, intensity 62
d = 2.271 Å, 2θ 39.69, intensity 30
d = 2.106 Å, 2θ 42.95, intensity 13
d = 1.876 Å, 2θ 48.54, intensity 20
d = 1.774 Å, 2θ 51.52, intensity 12

[7]
This entry pairs a crystal structure of K2NdAuCl6 with its calculated PXRD pattern. Radiation: Cu Kα, 1.54184 Å. Structure: a cell relaxed with GGA-PBE.
Kinematic intensities with the Lorentz-polarization factor, no thermal factor.

Atomic structure:
Cell lengths 7.7263, 7.7263, 7.7263 Å; angles 60.00, 60.00, 60.00 degrees
Fractional positions:
K 0.2500 0.2500 0.2500
K 0.7500 0.7500 0.7500
Nd 0.0000 0.0000 0.0000
Au 0.5000 0.5000 0.5000
Cl 0.2492 0.2492 0.7508
Cl 0.2492 0.7508 0.2492
Cl 0.2492 0.7508 0.7508
Cl 0.7508 0.2492 0.2492
Cl 0.7508 0.2492 0.7508
Cl 0.7508 0.7508 0.2492

Peak list (10 most intense, 10 to 80 degrees two-theta, by angle)
d = 5.463 Å, 2θ 16.22, intensity 100
d = 3.863 Å, 2θ 23.02, intensity 98
d = 2.732 Å, 2θ 32.79, intensity 68
d = 2.443 Å, 2θ 36.79, intensity 54
d = 2.230 Å, 2θ 40.44, intensity 46
d = 1.932 Å, 2θ 47.05, intensity 46
d = 1.821 Å, 2θ 50.09, intensity 28
d = 1.728 Å, 2θ 53.00, intensity 21
d = 1.460 Å, 2θ 63.74, intensity 24
d = 1.222 Å, 2θ 78.26, intensity 20

[8]
This entry pairs a crystal structure of Ba3LaTa3O12 with its calculated PXRD pattern. Radiation: Cu Kα, 1.54184 Å. Structure: a cell relaxed with GGA-PBE.
Kinematic intensities with the Lorentz-polarization factor, no thermal factor.

Atomic structure:
Cell lengths 9.8995, 9.8995, 9.8995 Å; angles 34.14, 34.14, 34.14 degrees
Fractional positions:
Ba 0.0000 0.0000 0.0000
Ba 0.1549 0.1549 0.1549
Ba 0.5772 0.5772 0.5772
La 0.7208 0.7208 0.7208
Ta 0.2902 0.2902 0.2902
Ta 0.4432 0.4432 0.4432
Ta 0.8662 0.8662 0.8662
O 0.0752 0.0752 0.5781
O 0.0752 0.5781 0.0752
O 0.1553 0.6627 0.6627
O 0.2464 0.2464 0.7415
O 0.2464 0.7415 0.2464
O 0.4906 0.4906 0.9931
O 0.4906 0.9931 0.4906
O 0.5781 0.0752 0.0752
O 0.6627 0.1553 0.6627
O 0.6627 0.6627 0.1553
O 0.7415 0.2464 0.2464
O 0.9931 0.4906 0.4906

Peak list (10 most intense, 10 to 80 degrees two-theta, by angle)
d = 3.127 Å, 2θ 28.54, intensity 100
d = 2.906 Å, 2θ 30.77, intensity 83
d = 2.129 Å, 2θ 42.46, intensity 50
d = 1.855 Å, 2θ 49.11, intensity 21
d = 1.717 Å, 2θ 53.35, intensity 36
d = 1.678 Å, 2θ 54.71, intensity 17
d = 1.564 Å, 2θ 59.08, intensity 16
d = 1.453 Å, 2θ 64.09, intensity 15
d = 1.377 Å, 2θ 68.10, intensity 19
d = 1.318 Å, 2θ 71.62, intensity 15

[9]
This entry pairs a crystal structure of SbSeI with its calculated PXRD pattern. Radiation: Cu Kα, 1.54184 Å. Structure: a cell relaxed with GGA-PBE.
Kinematic intensities with the Lorentz-polarization factor, no thermal factor.

Atomic structure:
Cell lengths 9.1637, 4.1873, 11.1005 Å; angles 90.00, 90.00, 90.00 degrees
Fractional positions:
Sb 0.0999 0.2500 0.1293
Sb 0.4001 0.7500 0.6293
Sb 0.5999 0.2500 0.3707
Sb 0.9001 0.7500 0.8707
Se 0.1653 0.7500 0.9646
Se 0.3347 0.2500 0.4646
Se 0.6653 0.7500 0.5354
Se 0.8347 0.2500 0.0354
I 0.0298 0.2500 0.6867
I 0.4702 0.7500 0.1867
I 0.5298 0.2500 0.8133
I 0.9702 0.7500 0.3133

Peak list (10 most intense, 10 to 80 degrees two-theta, by angle)
d = 7.067 Å, 2θ 12.53, intensity 29
d = 4.582 Å, 2θ 19.37, intensity 21
d = 3.533 Å, 2θ 25.20, intensity 23
d = 3.140 Å, 2θ 28.42, intensity 100
d = 2.945 Å, 2θ 30.35, intensity 21
d = 2.773 Å, 2θ 32.28, intensity 28
d = 2.676 Å, 2θ 33.49, intensity 21
d = 2.094 Å, 2θ 43.21, intensity 20
d = 2.065 Å, 2θ 43.84, intensity 19
d = 2.010 Å, 2θ 45.12, intensity 19

> What is the formula in the fourth record?

La2InGe2